Record 1
For Cd2Co2Pb, the PBE geometry in Alexandria gives the simulated XRD peak list in this record (a wavelength of 1.5418 Å).
Kinematic intensities with the Lorentz-polarization factor, no thermal factor.

Peak list (8 most intense, 10° ≤ 2θ ≤ 80°, sorted by position)
2θ = 30.2°, 2.959 Å, I = 19; 2θ = 31.6°, 2.830 Å, I = 28; 2θ = 34.7°, 2.584 Å, I = 100; 2θ = 44.3°, 2.045 Å, I = 23; 2θ = 44.6°, 2.031 Å, I = 33; 2θ = 54.8°, 1.675 Å, I = 14; 2θ = 64.7°, 1.441 Å, I = 15; 2θ = 75.8°, 1.256 Å, I = 20

Atomic structure:
Unit cell a=4.0630 b=4.0630 c=11.8347 alpha=90.00 beta=90.00 gamma=90.00
Space group I4/mmm (No. 139)
One atom of each set of equivalent atoms:
Cd1 0.0000 0.5000 0.2500 [4 per cell]
Co1 0.0000 0.0000 0.0923 [4 per cell]
Pb1 0.0000 0.0000 0.5000 [2 per cell]

Record 2
For TmPu2USe4, the PBE geometry in Alexandria gives the simulated XRD peak list in this record (a wavelength of 1.5418 Å).
Kinematic intensities with the Lorentz-polarization factor, no thermal factor.

Peak list (8 most intense, 10° ≤ 2θ ≤ 80°, sorted by position)
2θ = 26.9°, 3.318 Å, I = 20; 2θ = 30.9°, 2.894 Å, I = 100; 2θ = 43.8°, 2.069 Å, I = 13; 2θ = 44.2°, 2.050 Å, I = 25; 2θ = 44.4°, 2.042 Å, I = 25; 2θ = 44.8°, 2.025 Å, I = 12; 2θ = 55.4°, 1.659 Å, I = 13; 2θ = 64.4°, 1.447 Å, I = 13

Atomic structure:
Unit cell a=7.0961 b=4.0498 c=7.1301 alpha=90.00 beta=108.85 gamma=90.00
Space group P2/m (No. 10)
One atom of each set of equivalent atoms:
Tm1 0.0000 0.0000 0.0000 [1 per cell]
Pu1 0.0000 0.5000 0.5000 [1 per cell]
Pu2 0.5000 0.0000 0.5000 [1 per cell]
U1 0.5000 0.5000 0.0000 [1 per cell]
Se1 0.2446 0.5000 0.2428 [2 per cell]
Se2 0.2477 0.0000 0.7531 [2 per cell]